Entry 1:
Simulated powder diffractogram of MoHRh for Cu Kα, 1.54184 Å, from DFT lattice parameters and positions (PBE).

Cell and atoms:
Lattice parameters (Å, degrees): 9.368 2.783 4.956 90.00 98.64 90.00
Space group C2/m (No. 12)
Asymmetric unit:
Mo: 0.117 0.000 0.363 x4
H: 0.243 0.000 0.733 x4
Rh: 0.116 0.500 0.866 x4

Most intense lines, 5° ≤ 2θ ≤ 70°, in order of rising 2θ:
(hkl)  2θ (°)  I (rel.)
2 0 0  19.2  3.2
2 0 -2  38.9  100.0
1 1 1  39.2  99.1
2 0 2  44.4  33.8
3 1 -1  45.9  64.0
1 1 -3  65.7  40.1
6 0 -2  66.6  9.9
0 2 0  67.3  10.0

Entry 2:
Simulated powder diffractogram of La2PrHgC for Cu Kα, 1.54184 Å, from DFT lattice parameters and positions (PBE).

Cell and atoms:
Lattice parameters (Å, degrees): 7.233 7.233 10.644 90.00 90.00 90.00
Space group I4cm (No. 108)
Asymmetric unit:
La: 0.199 0.301 0.000 x8
Pr: 0.000 0.000 0.247 x4
Hg: 0.000 0.500 0.250 x4
C: 0.000 0.000 0.015 x4

Most intense lines, 5° ≤ 2θ ≤ 70°, in order of rising 2θ:
(hkl)  2θ (°)  I (rel.)
2 1 1  28.8  17.6
2 0 2  29.9  100.0
0 0 4  33.7  23.6
2 2 0  35.1  30.2
2 1 3  37.6  8.7
2 2 4  49.4  22.8
2 0 6  57.9  15.8
4 2 2  59.8  14.7

Entry 3:
Simulated powder diffractogram of FeCuPt5 for Cu Kα, 1.54184 Å, from DFT lattice parameters and positions (PBE).

Cell and atoms:
Lattice parameters (Å, degrees): 7.946 7.946 4.695 90.00 90.00 90.00
Space group I-4m2 (No. 119)
Asymmetric unit:
Fe: 0.000 0.000 0.000 x2
Cu: 0.000 0.500 0.750 x2
Pt: 0.000 0.000 0.500 x2
Pt: 0.000 0.279 0.230 x8

Most intense lines, 5° ≤ 2θ ≤ 70°, in order of rising 2θ:
(hkl)  2θ (°)  I (rel.)
1 0 1  22.0  100.0
2 0 0  22.4  38.5
2 1 1  31.6  87.8
2 2 0  31.9  20.7
1 1 2  41.7  26.1
3 2 1  45.5  81.8
4 0 0  45.7  48.4
2 2 2  50.7  56.2

Entry 4:
Simulated powder diffractogram of MnCoTcGeSe for Cu Kα, 1.54184 Å, from DFT lattice parameters and positions (PBE).

Cell and atoms:
Lattice parameters (Å, degrees): 3.8314 3.8314 17.4606 90.00 90.00 120.00
Space group R3m (No. 160, hexagonal axes)
Asymmetric unit:
Mn: 0.0000 0.0000 0.0000 x3
Co: 0.0000 0.0000 0.8621 x3
Tc: 0.0000 0.0000 0.7092 x3
Ge: 0.0000 0.0000 0.2658 x3
Se: 0.0000 0.0000 0.4692 x3

Most intense lines, 5° ≤ 2θ ≤ 70°, in order of rising 2θ:
(hkl)  2θ (°)  I (rel.)
0 1 2  28.8  14.6
1 0 4  33.9  74.7
0 1 5  37.4  67.7
1 0 7  45.5  49.2
1 1 0  47.5  100.0
0 1 8  50.0  21.8
0 2 4  59.6  14.2
2 0 5  61.9  15.0

Entry 5:
Simulated powder diffractogram of MgOsF6 for Cu Kα, 1.54184 Å, from DFT lattice parameters and positions (PBE).

Cell and atoms:
Lattice parameters (Å, degrees): 5.0626 5.0626 9.4456 90.00 90.00 120.00
Space group P-31c (No. 163)
Asymmetric unit:
Mg: 0.3333 0.6667 0.2500 x2
Os: 0.0000 0.0000 0.0000 x2
F: 0.0314 0.3298 0.1228 x12

Most intense lines, 5° ≤ 2θ ≤ 70°, in order of rising 2θ:
(hkl)  2θ (°)  I (rel.)
0 0 2  18.8  28.3
1 0 0  20.3  88.6
1 0 2  27.8  100.0
2 -1 2  40.4  32.0
1 0 4  43.5  20.9
2 0 2  45.6  26.1
2 -1 4  53.0  29.1
3 -1 2  59.1  24.7

Entry 6:
Simulated powder diffractogram of Nd3Al8Ga3 for Cu Kα, 1.54184 Å, from DFT lattice parameters and positions (PBE).

Cell and atoms:
Lattice parameters (Å, degrees): 4.378 10.129 12.950 90.00 90.00 90.00
Space group Immm (No. 71)
Asymmetric unit:
Nd: 0.000 0.000 0.000 x2
Nd: 0.000 0.000 0.322 x4
Al: 0.000 0.272 0.140 x8
Al: 0.000 0.371 0.334 x8
Ga: 0.000 0.221 0.500 x4
Ga: 0.000 0.500 0.000 x2

Most intense lines, 5° ≤ 2θ ≤ 70°, in order of rising 2θ:
(hkl)  2θ (°)  I (rel.)
1 1 0  22.1  24.6
0 1 3  22.4  19.1
1 0 3  29.0  19.5
1 3 0  33.5  16.7
0 3 3  33.7  22.0
1 2 3  34.1  100.0
2 0 0  41.2  21.3
0 0 6  41.8  17.9

Entry 7:
Simulated powder diffractogram of LiCd5Ag for Cu Kα, 1.54184 Å, from DFT lattice parameters and positions (PBE).

Cell and atoms:
Lattice parameters (Å, degrees): 7.659 2.999 12.441 90.00 92.08 90.00
Space group P2_1/m (No. 11)
Asymmetric unit:
Li: 0.111 0.250 0.182 x2
Cd: 0.078 0.250 0.406 x2
Cd: 0.170 0.750 0.975 x2
Cd: 0.214 0.250 0.756 x2
Cd: 0.356 0.750 0.561 x2
Cd: 0.457 0.250 0.113 x2
Ag: 0.370 0.750 0.308 x2

Most intense lines, 5° ≤ 2θ ≤ 70°, in order of rising 2θ:
(hkl)  2θ (°)  I (rel.)
2 0 2  27.8  23.3
1 1 2  35.4  56.9
3 0 1  36.2  63.2
2 0 -4  36.6  78.9
0 1 3  37.0  100.0
1 0 5  38.5  55.5
2 1 -1  38.7  98.3
3 1 4  56.5  30.0

Entry 8:
Simulated powder diffractogram of HoPuBr5 for Cu Kα, 1.54184 Å, from DFT lattice parameters and positions (PBE).

Cell and atoms:
Lattice parameters (Å, degrees): 8.464 4.056 13.737 90.00 94.61 90.00
Space group P2_1/m (No. 11)
Asymmetric unit:
Ho: 0.082 0.250 0.154 x2
Pu: 0.409 0.750 0.358 x2
Br: 0.128 0.250 0.797 x2
Br: 0.144 0.250 0.363 x2
Br: 0.177 0.750 0.020 x2
Br: 0.348 0.750 0.571 x2
Br: 0.423 0.250 0.191 x2

Most intense lines, 5° ≤ 2θ ≤ 70°, in order of rising 2θ:
(hkl)  2θ (°)  I (rel.)
1 0 -1  11.9  100.0
1 1 1  25.5  23.9
1 1 2  28.1  21.8
2 1 0  30.6  27.6
1 1 -3  30.8  23.4
2 1 -2  32.7  25.7
2 1 4  41.7  15.7
0 2 0  44.7  15.0

Entry 9:
Simulated powder diffractogram of TbEr2IrO8 for Cu Kα, 1.54184 Å, from DFT lattice parameters and positions (PBE).

Cell and atoms:
Lattice parameters (Å, degrees): 5.009 6.755 5.019 90.00 90.39 90.00
Space group P2/m (No. 10)
Asymmetric unit:
Tb: 0.000 0.000 0.000 x1
Er: 0.500 0.248 0.500 x2
Ir: 0.000 0.500 0.000 x1
O: 0.186 0.290 0.815 x4
O: 0.270 0.500 0.271 x2
O: 0.309 0.000 0.311 x2

Most intense lines, 5° ≤ 2θ ≤ 70°, in order of rising 2θ:
(hkl)  2θ (°)  I (rel.)
1 0 -1  25.0  56.3
1 0 1  25.2  53.5
1 2 0  31.9  100.0
0 0 2  35.8  30.2
2 2 -1  48.6  39.0
2 2 1  48.8  36.8
1 4 -1  60.7  18.7
0 4 2  66.8  11.4

Entry 10:
Simulated powder diffractogram of Ac4PuSe6 for Cu Kα, 1.54184 Å, from DFT lattice parameters and positions (PBE).

Cell and atoms:
Lattice parameters (Å, degrees): 12.3298 12.3298 15.0002 90.00 90.00 120.00
Space group R-3c (No. 167, hexagonal axes)
Asymmetric unit:
Ac: 0.0000 0.0000 0.2500 x6
Ac: 0.0000 0.3819 0.2500 x18
Pu: 0.0000 0.0000 0.0000 x6
Se: 0.0285 0.2028 0.3875 x36

Most intense lines, 5° ≤ 2θ ≤ 70°, in order of rising 2θ:
(hkl)  2θ (°)  I (rel.)
1 1 3  22.9  52.5
3 0 0  25.0  100.0
0 2 4  29.1  60.6
1 3 1  30.8  60.1
2 1 4  32.6  87.8
2 2 3  34.2  68.9
3 2 4  44.1  71.4
3 5 4  66.1  34.8

Entry 11:
Simulated powder diffractogram of Li2MnAg for Cu Kα, 1.54184 Å, from DFT lattice parameters and positions (PBE).

Cell and atoms:
Lattice parameters (Å, degrees): 9.368 2.843 4.928 90.00 98.88 90.00
Space group Cm (No. 8)
Asymmetric unit:
Li: 0.000 0.000 0.000 x2
Li: 0.242 0.000 0.754 x2
Mn: 0.490 0.000 0.488 x2
Ag: 0.245 0.500 0.257 x2

Most intense lines, 5° ≤ 2θ ≤ 70°, in order of rising 2θ:
(hkl)  2θ (°)  I (rel.)
0 0 1  18.2  100.0
2 0 -1  24.4  43.3
2 0 1  28.6  25.5
1 1 0  33.0  40.4
1 1 1  38.7  59.6
4 0 0  38.9  29.3
2 0 -2  39.1  28.9
3 1 -1  45.4  37.1

Entry 12:
Simulated powder diffractogram of PmNd2Mg9 for Cu Kα, 1.54184 Å, from DFT lattice parameters and positions (PBE).

Cell and atoms:
Lattice parameters (Å, degrees): 6.0796 6.0796 29.7629 90.00 90.00 120.00
Space group R-3m (No. 166, hexagonal axes)
Asymmetric unit:
Pm: 0.0000 0.0000 0.0000 x3
Nd: 0.0000 0.0000 0.1428 x6
Mg: 0.0000 0.0000 0.3339 x6
Mg: 0.0000 0.0000 0.5000 x3
Mg: 0.0030 0.5015 0.9169 x18

Most intense lines, 5° ≤ 2θ ≤ 70°, in order of rising 2θ:
(hkl)  2θ (°)  I (rel.)
1 0 1  17.1  56.1
1 0 7  27.0  68.0
1 1 0  29.4  100.0
0 2 1  34.2  33.0
1 1 6  34.6  87.6
2 1 7  50.6  23.9
3 0 0  52.1  28.0
2 0 14  55.6  35.4